(1)
Diffraction record for Sr3Fe2O5. The powder XRD pattern is computed, not measured: it uses DFT lattice parameters and positions (GGA+U) and CuKα.
No peak broadening, texture or thermal motion is included.

Crystal structure
Cell: 10.8102 10.8102 3.3936 Å, 90.00 90.00 158.26°
Fractional positions:
Sr1 0.0000 0.0000 0.0000
Sr2 0.1874 0.8126 0.0000
Sr3 0.8126 0.1874 0.0000
Fe1 0.4035 0.5965 0.5000
Fe2 0.5965 0.4035 0.5000
O1 0.0960 0.9040 0.5000
O2 0.3084 0.6916 0.5000
O3 0.5000 0.5000 0.5000
O4 0.6916 0.3084 0.5000
O5 0.9040 0.0960 0.5000

Largest 8 diffraction maxima, in order of falling intensity, 2θ from 10° to 90°:
2.589 Å, I = 100
2.941 Å, I = 89
2.449 Å, I = 79
2.223 Å, I = 45
1.470 Å, I = 43
1.552 Å, I = 42
2.039 Å, I = 41
2.123 Å, I = 34

(2)
Diffraction record for Sr8Fe8O23. The powder XRD pattern is computed, not measured: it uses DFT lattice parameters and positions (GGA+U) and CuKα.
No peak broadening, texture or thermal motion is included.

Crystal structure
Cell: 8.7667 8.7667 8.7667 Å, 101.52 101.52 126.90°
Fractional positions:
Sr1 0.0000 0.2524 0.2524
Sr2 0.0000 0.7476 0.7476
Sr3 0.2406 0.5000 0.7406
Sr4 0.2524 0.0000 0.2524
Sr5 0.5000 0.2406 0.7406
Sr6 0.5000 0.7594 0.2594
Sr7 0.7476 0.0000 0.7476
Sr8 0.7594 0.5000 0.2594
Fe1 0.0000 0.0000 0.5000
Fe2 0.0000 0.5000 0.0000
Fe3 0.2445 0.2445 0.0000
Fe4 0.2500 0.7500 0.5000
Fe5 0.5000 0.0000 0.0000
Fe6 0.5000 0.5000 0.5000
Fe7 0.7500 0.2500 0.5000
Fe8 0.7555 0.7555 0.0000
O1 0.0000 0.0000 0.0000
O2 0.0000 0.5000 0.5000
O3 0.1247 0.6247 0.2495
O4 0.1247 0.8753 0.5000
O5 0.1614 0.1614 0.7595
O6 0.1614 0.4019 0.0000
O7 0.2363 0.2363 0.4725
O8 0.2363 0.7637 0.0000
O9 0.3753 0.6247 0.5000
O10 0.3753 0.8753 0.7505
O11 0.4019 0.1614 0.0000
O12 0.4019 0.4019 0.2405
O13 0.5000 0.0000 0.5000
O14 0.5981 0.5981 0.7595
O15 0.5981 0.8386 0.0000
O16 0.6247 0.1247 0.2495
O17 0.6247 0.3753 0.5000
O18 0.7637 0.2363 0.0000
O19 0.7637 0.7637 0.5275
O20 0.8386 0.5981 0.0000
O21 0.8386 0.8386 0.2405
O22 0.8753 0.1247 0.5000
O23 0.8753 0.3753 0.7505

Largest 8 diffraction maxima, in order of falling intensity, 2θ from 10° to 90°:
2.772 Å, I = 100
1.600 Å, I = 38
1.960 Å, I = 37
1.386 Å, I = 20
1.240 Å, I = 16
2.263 Å, I = 12
1.132 Å, I = 7
1.182 Å, I = 3

(3)
Diffraction record for Sr4Fe6O13. The powder XRD pattern is computed, not measured: it uses DFT lattice parameters and positions (GGA+U) and CuKα.
No peak broadening, texture or thermal motion is included.

Crystal structure
Cell: 11.7190 11.7190 11.7190 Å, 123.22 63.94 153.06°
Fractional positions:
Sr1 0.1556 0.1280 0.2836
Sr2 0.1702 0.6345 0.7908
Sr3 0.3437 0.1345 0.4643
Sr4 0.3444 0.6280 0.9724
Sr5 0.6556 0.3720 0.0276
Sr6 0.6702 0.8794 0.5357
Sr7 0.8437 0.3794 0.2092
Sr8 0.8444 0.8720 0.7164
Fe1 0.0453 0.3933 0.4444
Fe2 0.2542 0.3828 0.6249
Fe3 0.2579 0.8828 0.1286
Fe4 0.3987 0.3040 0.8369
Fe5 0.4489 0.8933 0.3480
Fe6 0.4670 0.5618 0.1631
Fe7 0.5453 0.1009 0.6520
Fe8 0.7542 0.1293 0.8714
Fe9 0.7579 0.6293 0.3751
Fe10 0.8987 0.0618 0.0948
Fe11 0.9489 0.6009 0.5556
Fe12 0.9670 0.8040 0.9052
O1 0.0049 0.0063 0.4968
O2 0.0095 0.5063 0.0014
O3 0.0113 0.2493 0.7571
O4 0.0643 0.8780 0.7413
O5 0.0858 0.5559 0.3774
O6 0.1316 0.8730 0.9930
O7 0.1366 0.3229 0.2587
O8 0.1659 0.4073 0.5302
O9 0.1785 0.7084 0.6226
O10 0.2082 0.2082 0.0000
O11 0.3770 0.9073 0.2414
O12 0.3800 0.3730 0.7414
O13 0.4922 0.2541 0.2429
O14 0.5049 0.0081 0.9986
O15 0.5095 0.5081 0.5032
O16 0.5113 0.7541 0.7619
O17 0.5643 0.8229 0.1863
O18 0.5858 0.2084 0.5299
O19 0.6316 0.6386 0.2586
O20 0.6366 0.3780 0.8137
O21 0.6659 0.1356 0.7586
O22 0.6785 0.0559 0.4701
O23 0.7082 0.7082 0.0000
O24 0.8770 0.6356 0.4698
O25 0.8800 0.1386 0.0070
O26 0.9922 0.7493 0.2381

Largest 8 diffraction maxima, in order of falling intensity, 2θ from 10° to 90°:
2.785 Å, I = 100
1.950 Å, I = 23
2.730 Å, I = 23
1.608 Å, I = 21
1.587 Å, I = 14
1.392 Å, I = 12
1.988 Å, I = 10
1.618 Å, I = 6